Rb2MoAs2O9: theoretical powder diffraction line list (a wavelength of 1.5418 Å), based on a cell relaxed with GGA+U.
Neutral-atom scattering factors, no anomalous dispersion.

Main lines, by angle (2θ from 10° to 90°):
11.91 deg, 7.429 Å, intensity 50.3, (1 0 0)
20.15 deg, 4.406 Å, intensity 23.0, (0 1 2)
24.74 deg, 3.599 Å, intensity 100.0, (0 2 0)
25.45 deg, 3.500 Å, intensity 44.7, (1 2 1)
26.03 deg, 3.423 Å, intensity 32.4, (1 0 -2)
26.81 deg, 3.325 Å, intensity 69.7, (2 -1 0)
27.21 deg, 3.277 Å, intensity 47.3, (2 1 0)
27.67 deg, 3.224 Å, intensity 24.7, (0 1 -2)
28.43 deg, 3.139 Å, intensity 22.2, (2 0 2)
29.38 deg, 3.040 Å, intensity 91.7, (1 1 3)

```
data_Rb2MoAs2O9
_cell_length_a 7.599
_cell_length_b 7.677
_cell_length_c 9.330
_cell_angle_alpha 69.69
_cell_angle_beta 77.92
_cell_angle_gamma 86.77
_space_group_name_H-M_alt 'P -1'
_space_group_IT_number 2
loop_
_space_group_symop_operation_xyz
'x,y,z'
'-x,-y,-z'
loop_
_atom_site_label
_atom_site_fract_x
_atom_site_fract_y
_atom_site_fract_z
Rb1 0.087 0.220 0.121
Rb2 0.182 0.326 0.619
Mo1 0.432 0.743 0.762
As1 0.323 0.834 0.412
As2 0.332 0.676 0.142
O1 0.121 0.732 0.485
O2 0.130 0.770 0.127
O3 0.278 0.556 0.850
O4 0.287 0.931 0.730
O5 0.328 0.072 0.338
O6 0.332 0.440 0.232
O7 0.448 0.766 0.252
O8 0.469 0.741 0.541
O9 0.487 0.748 0.964
```